Record 1
The following is a theoretical powder XRD pattern of Y3HgN. It was derived from a cell relaxed with GGA-PBE, using copper Kα.

Peak list (6 most intense, 2θ = 10–90°, in order of rising 2θ)
2θ/deg  I/Imax
32.0  100
32.2  99
37.2  75
37.4  37
53.7  51
64.1  41

Atomic structure:
```
data_Y3HgN
_cell_length_a 6.806
_cell_length_b 13.750
_cell_length_c 4.811
_cell_angle_alpha 90.00
_cell_angle_beta 90.00
_cell_angle_gamma 90.00
_space_group_name_H-M_alt 'C m m m'
_space_group_IT_number 65
_space_group_name_Hall '-C 2 2'
loop_
_atom_site_label
_atom_site_type_symbol
_atom_site_fract_x
_atom_site_fract_y
_atom_site_fract_z
Y1 Y 0.000 0.133 0.000
Y2 Y 0.246 0.000 0.500
Y3 Y 0.250 0.250 0.500
Hg1 Hg 0.000 0.372 0.000
N1 N 0.000 0.128 0.500
```

***

Record 2
The following is a theoretical powder XRD pattern of CuReO4. It was derived from a cell relaxed with GGA-PBE, using copper Kα.

Peak list (6 most intense, 2θ = 10–90°, in order of rising 2θ)
2θ/deg  I/Imax
18.3  30
25.2  100
25.6  37
28.6  17
31.0  32
40.4  12

Atomic structure:
```
data_CuReO4
_cell_length_a 14.126
_cell_length_b 14.126
_cell_length_c 7.568
_cell_angle_alpha 90.00
_cell_angle_beta 90.00
_cell_angle_gamma 90.00
_space_group_name_H-M_alt 'I 41 c d'
_space_group_IT_number 110
_space_group_name_Hall 'I 4bw -2c'
loop_
_atom_site_label
_atom_site_type_symbol
_atom_site_fract_x
_atom_site_fract_y
_atom_site_fract_z
Cu1 Cu 0.106 0.156 0.000
Re1 Re 0.099 0.357 0.699
O1 O 0.024 0.370 0.168
O2 O 0.037 0.144 0.539
O3 O 0.123 0.262 0.844
O4 O 0.153 0.338 0.490
```